[1]
Computed powder XRD pattern
Compound: Sm5Y4Tm3
Radiation: a wavelength of 1.5418 Å
Structure: a DFT-relaxed cell (PBE, Alexandria)
Lines closer than 0.1° are merged.

Structure:
```
12
Lattice="8.143 -2.946 0.000 8.143 2.946 0.000 -4.279 0.000 8.291" Properties=species:S:1:pos:R:3 pbc="T T T"
Sm 0.000 0.000 0.000
Sm 2.674 0.000 5.106
Sm 5.627 0.000 2.469
Sm 6.381 0.000 5.821
Sm 9.334 0.000 3.185
Y -0.571 0.000 3.617
Y -0.248 0.000 7.276
Y 12.256 0.000 1.015
Y 12.578 0.000 4.673
Tm 2.425 0.000 1.904
Tm 8.143 0.000 0.000
Tm 9.582 0.000 6.387
```

Most intense lines, 15° ≤ 2θ ≤ 90°, in order of rising 2θ:
2θ/deg	I_rel
28.81	27
29.33	21
29.53	26
30.34	100
31.18	45
31.57	38
32.26	71
32.77	26
33.72	60
44.06	35

[2]
Computed powder XRD pattern
Compound: Sm2Y6Tm3
Radiation: a wavelength of 1.5418 Å
Structure: a DFT-relaxed cell (PBE, Alexandria)
Lines closer than 0.1° are merged.

Structure:
```
11
Lattice="1.781 1.028 31.879 -1.781 1.028 31.879 0.000 -2.057 31.879" Properties=species:S:1:pos:R:3 pbc="T T T"
Sm 0.000 0.000 4.401
Sm 0.000 0.000 91.236
Y 0.000 0.000 13.076
Y 0.000 0.000 30.424
Y 0.000 0.000 39.228
Y 0.000 0.000 56.409
Y 0.000 0.000 65.213
Y 0.000 0.000 82.561
Tm 0.000 0.000 21.669
Tm 0.000 0.000 47.819
Tm 0.000 0.000 73.968
```

Most intense lines, 15° ≤ 2θ ≤ 90°, in order of rising 2θ:
2θ/deg	I_rel
30.75	100
30.85	33
35.69	67
51.29	24
51.42	23
61.04	41
61.18	13
64.05	12
83.67	12
86.39	11

[3]
Computed powder XRD pattern
Compound: SmY12Tm2
Radiation: a wavelength of 1.5418 Å
Structure: a DFT-relaxed cell (PBE, Alexandria)
Lines closer than 0.1° are merged.

Structure:
```
30
Lattice="3.544 -5.659 0.000 3.544 5.659 0.000 0.000 0.000 24.681" Properties=species:S:1:pos:R:3 pbc="T T T"
Sm 3.544 2.829 0.008
Sm 3.544 -2.829 24.674
Y 1.774 2.829 3.210
Y 5.314 -2.829 21.471
Y 3.544 5.653 22.749
Y 1.846 2.829 14.517
Y 3.544 5.501 10.830
Y 1.772 0.000 4.945
Y 1.772 0.000 8.043
Y 1.772 0.000 16.638
Y 1.772 0.000 19.737
Y 3.544 0.158 10.830
Y 5.243 2.829 14.517
Y 3.544 0.006 22.749
Y 5.314 2.829 3.210
Y 1.774 -2.829 21.471
Y 3.544 -0.006 1.932
Y 1.846 -2.829 10.164
Y 3.544 -0.158 13.852
Y 5.316 0.000 4.945
Y 5.316 0.000 8.043
Y 5.316 0.000 16.638
Y 5.316 0.000 19.737
Y 3.544 -5.501 13.852
Y 5.243 -2.829 10.164
Y 3.544 -5.653 1.932
Tm 3.544 2.829 6.630
Tm 3.544 2.829 18.117
Tm 3.544 -2.829 6.564
Tm 3.544 -2.829 18.051
```

Most intense lines, 15° ≤ 2θ ≤ 90°, in order of rising 2θ:
2θ/deg	I_rel
29.06	35
29.86	52
30.63	70
31.65	100
33.07	63
33.17	68
37.06	24
43.47	23
47.99	24
58.61	26

[4]
Computed powder XRD pattern
Compound: Sm2Y3Tm
Radiation: a wavelength of 1.5418 Å
Structure: a DFT-relaxed cell (PBE, Alexandria)
Lines closer than 0.1° are merged.

Structure:
```
12
Lattice="7.433 -4.853 0.000 7.433 4.853 0.000 -2.420 0.000 5.509" Properties=species:S:1:pos:R:3 pbc="T T T"
Sm 3.970 2.723 3.390
Sm 7.267 2.723 4.874
Sm 5.180 -2.723 0.635
Sm 8.477 -2.723 2.120
Y 6.828 3.783 1.377
Y 3.926 0.810 0.133
Y 2.716 -0.810 2.887
Y 9.731 0.810 2.622
Y 8.521 -0.810 5.377
Y 5.619 -3.783 4.132
Tm 7.433 0.000 0.000
Tm 6.223 0.000 2.755
```

Most intense lines, 15° ≤ 2θ ≤ 90°, in order of rising 2θ:
2θ/deg	I_rel
28.35	37
29.69	26
30.80	31
31.39	73
31.58	100
31.83	36
32.13	75
53.79	26
53.93	29
55.66	33

[5]
Computed powder XRD pattern
Compound: SmY7Tm4
Radiation: a wavelength of 1.5418 Å
Structure: a DFT-relaxed cell (PBE, Alexandria)
Lines closer than 0.1° are merged.

Structure:
```
12
Lattice="6.484 0.000 0.000 0.923 6.737 0.000 2.132 0.272 8.787" Properties=species:S:1:pos:R:3 pbc="T T T"
Sm 0.000 0.000 0.000
Y 0.462 3.369 0.000
Y 2.169 0.811 3.400
Y 4.056 4.865 5.625
Y 3.475 1.709 0.428
Y 6.065 5.300 8.359
Y 5.484 2.144 3.162
Y 7.371 6.199 5.388
Tm 2.279 4.213 2.749
Tm 4.015 1.489 6.266
Tm 5.525 5.520 2.521
Tm 7.261 2.796 6.038
```

Most intense lines, 15° ≤ 2θ ≤ 90°, in order of rising 2θ:
2θ/deg	I_rel
30.52	37
31.06	41
31.70	100
32.57	81
32.99	20
42.74	13
46.39	11
47.10	12
57.47	15
57.57	12

[6]
Computed powder XRD pattern
Compound: Sm2YTm7
Radiation: a wavelength of 1.5418 Å
Structure: a DFT-relaxed cell (PBE, Alexandria)
Lines closer than 0.1° are merged.

Structure:
```
10
Lattice="6.099 0.000 0.000 -1.012 6.020 0.000 -3.048 -2.570 8.426" Properties=species:S:1:pos:R:3 pbc="T T T"
Sm -0.502 2.490 1.682
Sm 2.541 0.959 6.744
Y 1.525 -1.285 4.213
Tm -1.519 -1.794 5.904
Tm -0.516 1.468 5.052
Tm 1.531 -0.249 0.841
Tm 2.543 3.010 0.000
Tm 0.508 3.698 7.585
Tm 2.555 1.982 3.374
Tm 3.558 5.244 2.522
```

Most intense lines, 15° ≤ 2θ ≤ 90°, in order of rising 2θ:
2θ/deg	I_rel
31.09	100
36.05	51
51.90	36
61.74	39
64.83	9
76.48	4
84.75	7
84.85	10
87.55	6
87.60	8

[7]
Computed powder XRD pattern
Compound: Sm2Y2Tm15
Radiation: a wavelength of 1.5418 Å
Structure: a DFT-relaxed cell (PBE, Alexandria)
Lines closer than 0.1° are merged.

Structure:
```
19
Lattice="5.576 3.219 5.760 -5.576 3.219 5.760 0.000 -6.438 5.760" Properties=species:S:1:pos:R:3 pbc="T T T"
Sm 0.000 0.000 2.964
Sm 0.000 0.000 14.314
Y 0.000 0.000 6.840
Y 0.000 0.000 10.438
Tm -2.788 -1.610 5.760
Tm 0.000 -3.304 5.299
Tm -2.861 1.652 5.299
Tm -1.677 -2.905 8.639
Tm -3.355 0.000 8.639
Tm -2.861 -1.652 11.979
Tm -2.788 1.610 11.519
Tm 1.677 -2.905 8.639
Tm 0.000 3.219 5.759
Tm -1.677 2.905 8.639
Tm 2.861 1.652 5.299
Tm 3.355 0.000 8.639
Tm 1.677 2.905 8.639
Tm 2.861 -1.652 11.979
Tm 0.000 3.304 11.979
```

Most intense lines, 15° ≤ 2θ ≤ 90°, in order of rising 2θ:
2θ/deg	I_rel
15.89	19
27.71	33
31.06	25
31.85	100
32.11	36
35.78	54
51.68	13
55.75	16
57.23	26
66.55	11

[8]
Computed powder XRD pattern
Compound: SmY4Tm7
Radiation: a wavelength of 1.5418 Å
Structure: a DFT-relaxed cell (PBE, Alexandria)
Lines closer than 0.1° are merged.

Structure:
```
12
Lattice="6.721 0.000 0.000 1.652 6.727 0.000 1.987 1.184 8.338" Properties=species:S:1:pos:R:3 pbc="T T T"
Sm 0.000 0.000 0.000
Y 2.925 4.485 2.776
Y 4.077 2.354 5.682
Y 6.283 5.557 2.656
Y 7.435 3.427 5.562
Tm 0.826 3.364 0.000
Tm 2.108 1.167 3.071
Tm 4.701 5.751 5.607
Tm 3.681 1.716 0.230
Tm 6.678 6.195 8.108
Tm 5.659 2.161 2.731
Tm 8.251 6.745 5.267
```

Most intense lines, 15° ≤ 2θ ≤ 90°, in order of rising 2θ:
2θ/deg	I_rel
15.82	13
30.73	38
31.80	100
31.92	51
32.21	45
32.75	39
43.86	15
45.78	10
47.39	14
57.97	11

[9]
Computed powder XRD pattern
Compound: Sm12Y6Tm
Radiation: a wavelength of 1.5418 Å
Structure: a DFT-relaxed cell (PBE, Alexandria)
Lines closer than 0.1° are merged.

Structure:
```
19
Lattice="6.062 3.500 5.057 -6.062 3.500 5.057 0.000 -7.000 5.057" Properties=species:S:1:pos:R:3 pbc="T T T"
Sm -1.089 -1.767 2.901
Sm -0.986 1.827 2.901
Sm -1.458 -1.569 6.320
Sm 2.075 -0.059 2.901
Sm -2.088 0.478 8.851
Sm -0.630 2.047 6.320
Sm 0.630 -2.047 8.851
Sm 2.088 -0.478 6.320
Sm -2.075 0.059 12.271
Sm 1.458 1.569 8.851
Sm 0.986 -1.827 12.271
Sm 1.089 1.767 12.271
Y -3.655 0.961 5.355
Y 0.995 -3.646 5.355
Y -2.660 -2.684 9.817
Y 2.660 2.684 5.355
Y -0.995 3.646 9.817
Y 3.655 -0.961 9.817
Tm 0.000 0.000 0.000
```

Most intense lines, 15° ≤ 2θ ≤ 90°, in order of rising 2θ:
2θ/deg	I_rel
23.17	30
30.67	54
31.07	31
31.27	100
32.66	78
32.94	26
34.50	22
44.56	18
54.58	15
57.54	16

[10]
Computed powder XRD pattern
Compound: Sm5Y5Tm2
Radiation: a wavelength of 1.5418 Å
Structure: a DFT-relaxed cell (PBE, Alexandria)
Lines closer than 0.1° are merged.

Structure:
```
12
Lattice="7.589 -2.535 0.000 7.589 2.535 0.000 -5.064 0.000 10.127" Properties=species:S:1:pos:R:3 pbc="T T T"
Sm 0.000 0.000 0.000
Sm -2.550 0.000 7.593
Sm -0.002 0.000 5.060
Sm 10.116 0.000 5.067
Sm 12.663 0.000 2.534
Y 2.512 0.000 2.520
Y 0.003 0.000 10.123
Y 5.057 0.000 5.063
Y 10.111 0.000 0.004
Y 7.602 0.000 7.607
Tm 2.526 0.000 7.592
Tm 7.588 0.000 2.535
```

Most intense lines, 15° ≤ 2θ ≤ 90°, in order of rising 2θ:
2θ/deg	I_rel
30.58	100
35.45	50
51.01	36
60.64	35
60.71	7
63.65	12
75.07	4
83.13	14
85.77	9
85.88	7

[11]
Computed powder XRD pattern
Compound: Sm6Y8Tm
Radiation: a wavelength of 1.5418 Å
Structure: a DFT-relaxed cell (PBE, Alexandria)
Lines closer than 0.1° are merged.

Structure:
```
15
Lattice="9.969 0.000 0.000 -4.985 8.634 0.000 0.000 0.000 5.840" Properties=species:S:1:pos:R:3 pbc="T T T"
Sm -2.192 5.382 1.545
Sm 1.420 4.044 1.545
Sm 4.212 0.793 4.296
Sm 0.773 7.841 1.545
Sm 3.565 4.589 4.296
Sm 7.177 3.251 4.296
Y -3.373 6.717 4.533
Y 0.854 2.354 4.533
Y 2.465 0.438 1.307
Y 0.000 5.756 4.520
Y 4.985 2.878 1.320
Y 2.519 8.196 4.533
Y 4.131 6.280 1.307
Y 8.358 1.916 1.307
Tm 0.000 0.000 2.920
```

Most intense lines, 15° ≤ 2θ ≤ 90°, in order of rising 2θ:
2θ/deg	I_rel
27.33	23
30.62	19
31.40	100
41.50	22
48.31	21
54.92	17
58.28	15
58.76	14
79.41	9
83.83	7

[12]
Computed powder XRD pattern
Compound: Sm7Y2Tm4
Radiation: a wavelength of 1.5418 Å
Structure: a DFT-relaxed cell (PBE, Alexandria)
Lines closer than 0.1° are merged.

Structure:
```
13
Lattice="7.990 0.000 0.000 -2.401 7.628 0.000 -2.406 -3.274 6.893" Properties=species:S:1:pos:R:3 pbc="T T T"
Sm 0.000 0.000 0.000
Sm -1.616 2.846 6.378
Sm 1.585 3.013 1.050
Sm 2.400 -0.101 2.663
Sm 0.782 4.455 4.230
Sm 1.597 1.342 5.843
Sm 4.798 1.508 0.515
Y -0.813 1.412 3.194
Y 3.996 2.942 3.699
Tm -1.615 4.525 1.597
Tm -0.024 -1.680 4.765
Tm 3.206 6.035 2.128
Tm 4.798 -0.171 5.296
```

Most intense lines, 15° ≤ 2θ ≤ 90°, in order of rising 2θ:
2θ/deg	I_rel
30.63	100
35.51	51
51.09	36
60.74	36
60.82	7
63.76	12
83.28	13
83.38	4
85.94	11
86.05	5